Record 1
LiV2OF5: theoretical XRD peak list (Cu Kα, 1.54184 Å), based on DFT lattice parameters and positions (GGA+U).
No peak broadening, texture or thermal motion is included.

Most intense lines, 2θ from 5° to 70°, in order of falling intensity:
| two_theta | Rel. int. |
| --- | --- |
| 23.67 | 100 |
| 23.48 | 97 |
| 23.26 | 94 |
| 32.52 | 47 |
| 39.59 | 28 |
| 52.52 | 25 |
| 39.98 | 23 |
| 32.35 | 20 |
| 48.02 | 19 |
| 47.55 | 19 |

Structure:
```
data_LiV2OF5
_chemical_formula_sum 'Li4 V8 O4 F20'
_symmetry_space_group_name_H-M 'P 1'
_symmetry_Int_Tables_number 1
_symmetry_space_group_name_Hall 'P 1'
_cell_length_a 5.224
_cell_length_b 5.524
_cell_length_c 17.325
_cell_angle_alpha 84.57
_cell_angle_beta 82.76
_cell_angle_gamma 62.09
loop_
_atom_site_label
_atom_site_fract_x
_atom_site_fract_y
_atom_site_fract_z
Li1 0.000 0.000 0.000
Li2 0.119 0.128 0.607
Li3 0.242 0.256 0.249
Li4 0.771 0.743 0.744
V1 0.152 0.937 0.815
V2 0.227 0.103 0.431
V3 0.393 0.195 0.065
V4 0.515 0.312 0.685
V5 0.633 0.455 0.317
V6 0.737 0.589 0.931
V7 0.863 0.738 0.562
V8 0.976 0.845 0.183
O1 0.005 0.252 0.347
O2 0.530 0.741 0.843
O3 0.764 0.995 0.097
O4 0.799 0.019 0.628
F1 0.021 0.873 0.472
F2 0.050 0.271 0.868
F3 0.185 0.631 0.752
F4 0.203 0.065 0.162
F5 0.237 0.652 0.271
F6 0.270 0.496 0.600
F7 0.284 0.092 0.712
F8 0.287 0.529 0.119
F9 0.419 0.890 0.001
F10 0.440 0.315 0.407
F11 0.447 0.934 0.532
F12 0.536 0.787 0.371
F13 0.575 0.334 0.969
F14 0.659 0.148 0.252
F15 0.734 0.133 0.779
F16 0.739 0.541 0.660
F17 0.813 0.593 0.221
F18 0.949 0.388 0.514
F19 0.972 0.802 0.914
F20 0.994 0.391 0.020
```

***

Record 2
Li2VO2F: theoretical XRD peak list (Cu Kα, 1.54184 Å), based on DFT lattice parameters and positions (GGA+U).
No peak broadening, texture or thermal motion is included.

Most intense lines, 2θ from 5° to 70°, in order of falling intensity:
| two_theta | Rel. int. |
| --- | --- |
| 18.26 | 100 |
| 42.60 | 51 |
| 43.27 | 48 |
| 43.16 | 48 |
| 13.91 | 34 |
| 15.31 | 32 |
| 62.34 | 27 |
| 62.04 | 17 |
| 35.07 | 15 |
| 22.96 | 15 |

Structure:
```
data_Li2VO2F
_chemical_formula_sum 'Li4 V2 O4 F2'
_symmetry_space_group_name_H-M 'P 1'
_symmetry_Int_Tables_number 1
_symmetry_space_group_name_Hall 'P 1'
_cell_length_a 2.952
_cell_length_b 5.939
_cell_length_c 6.692
_cell_angle_alpha 77.36
_cell_angle_beta 77.48
_cell_angle_gamma 89.86
loop_
_atom_site_label
_atom_site_fract_x
_atom_site_fract_y
_atom_site_fract_z
Li1 0.000 0.000 0.000
Li2 0.000 0.500 0.000
Li3 0.331 0.156 0.336
Li4 0.669 0.844 0.664
V1 0.336 0.673 0.338
V2 0.664 0.327 0.662
O1 0.159 0.568 0.665
O2 0.161 0.098 0.675
O3 0.839 0.902 0.325
O4 0.841 0.432 0.335
F1 0.498 0.746 0.002
F2 0.502 0.254 0.998
```

***

Record 3
Li2VO2F2: theoretical XRD peak list (Cu Kα, 1.54184 Å), based on DFT lattice parameters and positions (GGA+U).
No peak broadening, texture or thermal motion is included.

Most intense lines, 2θ from 5° to 70°, in order of falling intensity:
| two_theta | Rel. int. |
| --- | --- |
| 27.74 | 100 |
| 14.61 | 93 |
| 16.36 | 78 |
| 27.34 | 45 |
| 43.03 | 44 |
| 46.95 | 41 |
| 39.58 | 40 |
| 27.14 | 26 |
| 60.91 | 22 |
| 65.57 | 20 |

Structure:
```
data_Li2VO2F2
_chemical_formula_sum 'Li4 V2 O4 F4'
_symmetry_space_group_name_H-M 'P 1'
_symmetry_Int_Tables_number 1
_symmetry_space_group_name_Hall 'P 1'
_cell_length_a 6.320
_cell_length_b 3.871
_cell_length_c 6.627
_cell_angle_alpha 90.00
_cell_angle_beta 113.81
_cell_angle_gamma 90.00
loop_
_atom_site_label
_atom_site_fract_x
_atom_site_fract_y
_atom_site_fract_z
Li1 0.092 0.250 0.392
Li2 0.283 0.750 0.229
Li3 0.717 0.250 0.771
Li4 0.908 0.750 0.608
V1 0.294 0.250 0.881
V2 0.706 0.750 0.119
O1 0.008 0.250 0.688
O2 0.354 0.750 0.939
O3 0.646 0.250 0.061
O4 0.992 0.750 0.312
F1 0.224 0.250 0.151
F2 0.389 0.250 0.627
F3 0.611 0.750 0.373
F4 0.776 0.750 0.849
```

***

Record 4
Li2VO2F: theoretical XRD peak list (Cu Kα, 1.54184 Å), based on DFT lattice parameters and positions (GGA+U).
No peak broadening, texture or thermal motion is included.

Most intense lines, 2θ from 5° to 70°, in order of falling intensity:
| two_theta | Rel. int. |
| --- | --- |
| 12.02 | 100 |
| 42.22 | 49 |
| 24.18 | 30 |
| 42.90 | 22 |
| 34.30 | 15 |
| 61.91 | 11 |
| 36.37 | 10 |
| 61.32 | 9 |
| 34.45 | 8 |
| 61.56 | 6 |

Structure:
```
data_Li2VO2F
_chemical_formula_sum 'Li8 V4 O8 F4'
_symmetry_space_group_name_H-M 'P 1'
_symmetry_Int_Tables_number 1
_symmetry_space_group_name_Hall 'P 1'
_cell_length_a 3.024
_cell_length_b 7.363
_cell_length_c 10.414
_cell_angle_alpha 89.01
_cell_angle_beta 89.88
_cell_angle_gamma 89.94
loop_
_atom_site_label
_atom_site_fract_x
_atom_site_fract_y
_atom_site_fract_z
Li1 0.000 0.000 0.000
Li2 0.000 0.039 0.530
Li3 0.001 0.312 0.165
Li4 0.500 0.019 0.744
Li5 0.501 0.013 0.252
Li6 0.501 0.317 0.914
Li7 0.503 0.298 0.434
Li8 0.999 0.292 0.664
V1 0.004 0.642 0.330
V2 0.008 0.664 0.842
V3 0.492 0.661 0.088
V4 0.500 0.656 0.597
O1 0.014 0.809 0.674
O2 0.495 0.502 0.255
O3 0.497 0.816 0.925
O4 0.500 0.164 0.589
O5 0.518 0.514 0.763
O6 0.989 0.810 0.175
O7 0.993 0.530 0.503
O8 0.997 0.511 0.009
F1 0.000 0.157 0.328
F2 0.000 0.162 0.849
F3 0.500 0.160 0.088
F4 0.502 0.814 0.412
```

***

Record 5
LiV2OF5: theoretical XRD peak list (Cu Kα, 1.54184 Å), based on DFT lattice parameters and positions (GGA+U).
No peak broadening, texture or thermal motion is included.

Most intense lines, 2θ from 5° to 70°, in order of falling intensity:
| two_theta | Rel. int. |
| --- | --- |
| 23.46 | 100 |
| 52.73 | 31 |
| 39.63 | 28 |
| 32.42 | 23 |
| 47.99 | 19 |
| 61.63 | 13 |
| 55.43 | 11 |
| 60.38 | 9 |
| 34.40 | 7 |
| 67.87 | 5 |

Structure:
```
data_LiV2OF5
_chemical_formula_sum 'Li3 V6 O3 F15'
_symmetry_space_group_name_H-M 'P 1'
_symmetry_Int_Tables_number 1
_symmetry_space_group_name_Hall 'P 1'
_cell_length_a 5.213
_cell_length_b 5.213
_cell_length_c 13.964
_cell_angle_alpha 90.00
_cell_angle_beta 90.00
_cell_angle_gamma 120.00
loop_
_atom_site_label
_atom_site_fract_x
_atom_site_fract_y
_atom_site_fract_z
Li1 0.014 0.677 0.000
Li2 0.323 0.337 0.667
Li3 0.663 0.986 0.333
V1 0.001 0.642 0.789
V2 0.334 0.311 0.967
V3 0.358 0.359 0.456
V4 0.641 0.999 0.123
V5 0.689 0.023 0.634
V6 0.977 0.666 0.301
O1 0.376 0.043 0.045
O2 0.668 0.624 0.378
O3 0.957 0.332 0.712
F1 0.003 0.309 0.044
F2 0.026 0.354 0.381
F3 0.036 0.085 0.551
F4 0.049 0.964 0.884
F5 0.271 0.597 0.886
F6 0.306 0.997 0.377
F7 0.326 0.729 0.219
F8 0.328 0.974 0.714
F9 0.403 0.674 0.552
F10 0.603 0.282 0.550
F11 0.646 0.672 0.047
F12 0.679 0.397 0.884
F13 0.691 0.694 0.710
F14 0.718 0.321 0.217
F15 0.915 0.951 0.218
```

***

Record 6
LiV2OF5: theoretical XRD peak list (Cu Kα, 1.54184 Å), based on DFT lattice parameters and positions (GGA+U).
No peak broadening, texture or thermal motion is included.

Most intense lines, 2θ from 5° to 70°, in order of falling intensity:
| two_theta | Rel. int. |
| --- | --- |
| 23.73 | 100 |
| 23.26 | 99 |
| 23.54 | 98 |
| 32.61 | 75 |
| 39.50 | 32 |
| 53.20 | 31 |
| 47.56 | 21 |
| 48.16 | 20 |
| 60.85 | 20 |
| 48.56 | 19 |

Structure:
```
data_LiV2OF5
_chemical_formula_sum 'Li3 V6 O3 F15'
_symmetry_space_group_name_H-M 'P 1'
_symmetry_Int_Tables_number 1
_symmetry_space_group_name_Hall 'P 1'
_cell_length_a 5.169
_cell_length_b 5.226
_cell_length_c 13.827
_cell_angle_alpha 89.57
_cell_angle_beta 89.87
_cell_angle_gamma 60.93
loop_
_atom_site_label
_atom_site_fract_x
_atom_site_fract_y
_atom_site_fract_z
Li1 0.000 0.000 0.000
Li2 0.304 0.371 0.342
Li3 0.652 0.707 0.629
V1 0.023 0.021 0.736
V2 0.311 0.367 0.067
V3 0.336 0.334 0.578
V4 0.678 0.687 0.398
V5 0.690 0.680 0.908
V6 0.988 0.004 0.241
O1 0.001 0.633 0.989
O2 0.290 0.066 0.655
O3 0.944 0.736 0.320
F1 0.022 0.695 0.654
F2 0.025 0.396 0.481
F3 0.062 0.288 0.159
F4 0.282 0.693 0.152
F5 0.315 0.004 0.323
F6 0.349 0.731 0.823
F7 0.363 0.006 0.987
F8 0.407 0.611 0.489
F9 0.626 0.990 0.494
F10 0.642 0.366 0.988
F11 0.668 0.337 0.654
F12 0.670 0.077 0.148
F13 0.673 0.360 0.322
F14 0.734 0.969 0.820
F15 0.954 0.350 0.822
```

***

What did the second record say?
Li2VO2F: theoretical XRD peak list (Cu Kα, 1.54184 Å), based on DFT lattice parameters and positions (GGA+U).
No peak broadening, texture or thermal motion is included.

Most intense lines, 2θ from 5° to 70°, in order of falling intensity:
| two_theta | Rel. int. |
| --- | --- |
| 18.26 | 100 |
| 42.60 | 51 |
| 43.27 | 48 |
| 43.16 | 48 |
| 13.91 | 34 |
| 15.31 | 32 |
| 62.34 | 27 |
| 62.04 | 17 |
| 35.07 | 15 |
| 22.96 | 15 |

Structure:
```
data_Li2VO2F
_chemical_formula_sum 'Li4 V2 O4 F2'
_symmetry_space_group_name_H-M 'P 1'
_symmetry_Int_Tables_number 1
_symmetry_space_group_name_Hall 'P 1'
_cell_length_a 2.952
_cell_length_b 5.939
_cell_length_c 6.692
_cell_angle_alpha 77.36
_cell_angle_beta 77.48
_cell_angle_gamma 89.86
loop_
_atom_site_label
_atom_site_fract_x
_atom_site_fract_y
_atom_site_fract_z
Li1 0.000 0.000 0.000
Li2 0.000 0.500 0.000
Li3 0.331 0.156 0.336
Li4 0.669 0.844 0.664
V1 0.336 0.673 0.338
V2 0.664 0.327 0.662
O1 0.159 0.568 0.665
O2 0.161 0.098 0.675
O3 0.839 0.902 0.325
O4 0.841 0.432 0.335
F1 0.498 0.746 0.002
F2 0.502 0.254 0.998
```